(1)
# Pr2SiPd6
Theoretical X-ray powder pattern, CuKα. Input: a GGA-PBE-relaxed structure.
Intensities are scaled so that the largest is 100.

Cell and atoms:
a b c (Å): 5.787 5.787 6.039
angles (deg): 102.55 102.55 60.00
Fractional coordinates of all 9 atoms:
Pr1 0.140 0.140 0.331
Pr2 0.860 0.860 0.669
Si1 0.500 0.500 0.500
Pd1 0.112 0.622 0.193
Pd2 0.378 0.378 0.797
Pd3 0.378 0.888 0.807
Pd4 0.622 0.112 0.193
Pd5 0.622 0.622 0.203
Pd6 0.888 0.378 0.807

Most intense lines, 10° ≤ 2θ ≤ 90°, in order of falling intensity:
37.46 deg, intensity 100
41.27 deg, intensity 71
37.06 deg, intensity 52
30.59 deg, intensity 45
64.42 deg, intensity 38
42.02 deg, intensity 32
33.51 deg, intensity 14
39.80 deg, intensity 13
76.70 deg, intensity 12
47.91 deg, intensity 11
34.59 deg, intensity 11
31.52 deg, intensity 11

(2)
# PrSi4Pd6
Theoretical X-ray powder pattern, CuKα. Input: a GGA-PBE-relaxed structure.
Intensities are scaled so that the largest is 100.

Cell and atoms:
a b c (Å): 7.138 7.138 3.976
angles (deg): 90.00 90.00 120.00
Fractional coordinates of all 11 atoms:
Pr1 0.000 0.000 0.000
Si1 0.333 0.667 0.000
Si2 0.395 0.197 0.500
Si3 0.803 0.197 0.500
Si4 0.803 0.605 0.500
Pd1 0.200 0.399 0.500
Pd2 0.200 0.800 0.500
Pd3 0.534 0.068 0.000
Pd4 0.534 0.466 0.000
Pd5 0.601 0.800 0.500
Pd6 0.932 0.466 0.000

Most intense lines, 10° ≤ 2θ ≤ 90°, in order of falling intensity:
36.83 deg, intensity 100
38.53 deg, intensity 24
45.63 deg, intensity 20
26.65 deg, intensity 20
45.00 deg, intensity 19
28.89 deg, intensity 18
51.19 deg, intensity 17
43.94 deg, intensity 15
70.50 deg, intensity 14
33.75 deg, intensity 13
70.97 deg, intensity 13
61.21 deg, intensity 12

(3)
# Pr3Si2Pd2
Theoretical X-ray powder pattern, CuKα. Input: a GGA-PBE-relaxed structure.
Intensities are scaled so that the largest is 100.

Cell and atoms:
a b c (Å): 5.783 8.206 13.413
angles (deg): 90.00 90.00 90.00
Fractional coordinates of all 28 atoms:
Pr1 0.128 0.109 0.104
Pr2 0.128 0.109 0.396
Pr3 0.128 0.391 0.604
Pr4 0.128 0.391 0.896
Pr5 0.355 0.749 0.750
Pr6 0.355 0.751 0.250
Pr7 0.645 0.249 0.750
Pr8 0.645 0.251 0.250
Pr9 0.872 0.609 0.104
Pr10 0.872 0.609 0.396
Pr11 0.872 0.891 0.604
Pr12 0.872 0.891 0.896
Si1 0.157 0.100 0.750
Si2 0.157 0.400 0.250
Si3 0.339 0.750 0.000
Si4 0.339 0.750 0.500
Si5 0.661 0.250 0.000
Si6 0.661 0.250 0.500
Si7 0.843 0.600 0.750
Si8 0.843 0.900 0.250
Pd1 0.385 0.041 0.591
Pd2 0.385 0.041 0.909
Pd3 0.385 0.459 0.091
Pd4 0.385 0.459 0.409
Pd5 0.615 0.541 0.591
Pd6 0.615 0.541 0.909
Pd7 0.615 0.959 0.091
Pd8 0.615 0.959 0.409

Most intense lines, 10° ≤ 2θ ≤ 90°, in order of falling intensity:
38.67 deg, intensity 100
33.48 deg, intensity 97
32.78 deg, intensity 93
36.33 deg, intensity 60
34.54 deg, intensity 40
40.35 deg, intensity 36
25.45 deg, intensity 30
23.02 deg, intensity 30
27.47 deg, intensity 29
47.00 deg, intensity 22
58.91 deg, intensity 21
55.41 deg, intensity 21

(4)
# PrSm2Pd2
Theoretical X-ray powder pattern, CuKα. Input: a GGA-PBE-relaxed structure.
Intensities are scaled so that the largest is 100.

Cell and atoms:
a b c (Å): 8.084 8.084 3.947
angles (deg): 90.00 90.00 90.00
Fractional coordinates of all 10 atoms:
Pr1 0.000 0.000 0.000
Pr2 0.500 0.500 0.000
Sm1 0.166 0.334 0.500
Sm2 0.334 0.834 0.500
Sm3 0.666 0.166 0.500
Sm4 0.834 0.666 0.500
Pd1 0.126 0.626 0.000
Pd2 0.374 0.126 0.000
Pd3 0.626 0.874 0.000
Pd4 0.874 0.374 0.000

Most intense lines, 10° ≤ 2θ ≤ 90°, in order of falling intensity:
33.62 deg, intensity 100
35.10 deg, intensity 50
31.69 deg, intensity 33
59.14 deg, intensity 22
45.99 deg, intensity 16
66.66 deg, intensity 14
63.20 deg, intensity 11
77.16 deg, intensity 11
52.08 deg, intensity 10
53.39 deg, intensity 10
31.30 deg, intensity 10
27.46 deg, intensity 7

(5)
# PrSm6Pd3
Theoretical X-ray powder pattern, CuKα. Input: a GGA-PBE-relaxed structure.
Intensities are scaled so that the largest is 100.

Cell and atoms:
a b c (Å): 8.929 8.929 7.328
angles (deg): 90.00 90.00 97.28
Fractional coordinates of all 20 atoms:
Pr1 0.180 0.820 0.500
Pr2 0.820 0.180 0.000
Sm1 0.080 0.468 0.287
Sm2 0.130 0.213 0.633
Sm3 0.213 0.130 0.133
Sm4 0.266 0.734 0.982
Sm5 0.466 0.534 0.625
Sm6 0.468 0.080 0.787
Sm7 0.532 0.920 0.287
Sm8 0.534 0.466 0.125
Sm9 0.734 0.266 0.482
Sm10 0.787 0.870 0.633
Sm11 0.870 0.787 0.133
Sm12 0.920 0.532 0.787
Pd1 0.068 0.932 0.841
Pd2 0.220 0.414 0.921
Pd3 0.414 0.220 0.421
Pd4 0.586 0.780 0.921
Pd5 0.780 0.586 0.421
Pd6 0.932 0.068 0.341

Most intense lines, 10° ≤ 2θ ≤ 90°, in order of falling intensity:
34.10 deg, intensity 100
33.10 deg, intensity 92
30.28 deg, intensity 77
29.31 deg, intensity 60
31.69 deg, intensity 59
32.70 deg, intensity 51
39.24 deg, intensity 50
28.68 deg, intensity 33
27.75 deg, intensity 30
54.77 deg, intensity 25
26.57 deg, intensity 25
55.77 deg, intensity 24

(6)
# Pr2Sn8Pd
Theoretical X-ray powder pattern, CuKα. Input: a GGA-PBE-relaxed structure.
Intensities are scaled so that the largest is 100.

Cell and atoms:
a b c (Å): 4.742 4.742 13.065
angles (deg): 90.00 90.00 90.00
Fractional coordinates of all 11 atoms:
Pr1 0.000 0.000 0.177
Pr2 0.000 0.000 0.823
Sn1 0.000 0.500 0.000
Sn2 0.000 0.500 0.377
Sn3 0.000 0.500 0.623
Sn4 0.500 0.000 0.000
Sn5 0.500 0.000 0.377
Sn6 0.500 0.000 0.623
Sn7 0.500 0.500 0.196
Sn8 0.500 0.500 0.804
Pd1 0.000 0.000 0.500

Most intense lines, 10° ≤ 2θ ≤ 90°, in order of falling intensity:
33.74 deg, intensity 100
37.95 deg, intensity 50
65.88 deg, intensity 30
29.96 deg, intensity 26
52.09 deg, intensity 20
54.76 deg, intensity 18
63.36 deg, intensity 16
34.32 deg, intensity 16
88.53 deg, intensity 13
66.24 deg, intensity 10
57.46 deg, intensity 8
63.68 deg, intensity 6

(7)
# Pr2Sn4Pd
Theoretical X-ray powder pattern, CuKα. Input: a GGA-PBE-relaxed structure.
Intensities are scaled so that the largest is 100.

Cell and atoms:
a b c (Å): 6.655 6.649 6.340
angles (deg): 61.58 61.49 56.93
Fractional coordinates of all 7 atoms:
Pr1 0.000 0.000 0.500
Pr2 0.500 0.500 0.000
Sn1 0.008 0.500 0.500
Sn2 0.008 0.501 0.992
Sn3 0.500 0.008 0.992
Sn4 0.501 0.008 0.499
Pd1 0.583 0.583 0.417

Most intense lines, 10° ≤ 2θ ≤ 90°, in order of falling intensity:
33.64 deg, intensity 100
40.23 deg, intensity 34
55.49 deg, intensity 19
26.92 deg, intensity 16
36.57 deg, intensity 15
68.88 deg, intensity 13
68.99 deg, intensity 13
58.20 deg, intensity 12
63.98 deg, intensity 10
41.93 deg, intensity 10
70.73 deg, intensity 9
16.64 deg, intensity 9

(8)
# Pr2SnPd7
Theoretical X-ray powder pattern, CuKα. Input: a GGA-PBE-relaxed structure.
Intensities are scaled so that the largest is 100.

Cell and atoms:
a b c (Å): 6.969 6.969 6.969
angles (deg): 60.00 60.00 60.00
Fractional coordinates of all 10 atoms:
Pr1 0.250 0.250 0.250
Pr2 0.750 0.750 0.750
Sn1 0.000 0.000 0.000
Pd1 0.249 0.249 0.751
Pd2 0.249 0.751 0.249
Pd3 0.249 0.751 0.751
Pd4 0.500 0.500 0.500
Pd5 0.751 0.249 0.249
Pd6 0.751 0.249 0.751
Pd7 0.751 0.751 0.249

Most intense lines, 10° ≤ 2θ ≤ 90°, in order of falling intensity:
36.47 deg, intensity 100
31.44 deg, intensity 73
52.53 deg, intensity 70
25.56 deg, intensity 33
88.80 deg, intensity 32
62.51 deg, intensity 29
65.63 deg, intensity 23
45.07 deg, intensity 15
85.99 deg, intensity 12
18.00 deg, intensity 12
77.48 deg, intensity 11
71.66 deg, intensity 8

(9)
# Pr3Sn4Pd8
Theoretical X-ray powder pattern, CuKα. Input: a GGA-PBE-relaxed structure.
Intensities are scaled so that the largest is 100.

Cell and atoms:
a b c (Å): 9.544 9.544 9.544
angles (deg): 60.00 60.00 60.00
Fractional coordinates of all 30 atoms:
Pr1 0.230 0.230 0.770
Pr2 0.230 0.770 0.230
Pr3 0.230 0.770 0.770
Pr4 0.770 0.230 0.230
Pr5 0.770 0.230 0.770
Pr6 0.770 0.770 0.230
Sn1 0.000 0.000 0.000
Sn2 0.000 0.000 0.500
Sn3 0.000 0.500 0.000
Sn4 0.000 0.500 0.500
Sn5 0.500 0.000 0.000
Sn6 0.500 0.000 0.500
Sn7 0.500 0.500 0.000
Sn8 0.500 0.500 0.500
Pd1 0.132 0.623 0.623
Pd2 0.168 0.168 0.168
Pd3 0.168 0.168 0.495
Pd4 0.168 0.495 0.168
Pd5 0.377 0.377 0.377
Pd6 0.377 0.377 0.868
Pd7 0.377 0.868 0.377
Pd8 0.495 0.168 0.168
Pd9 0.505 0.832 0.832
Pd10 0.623 0.132 0.623
Pd11 0.623 0.623 0.132
Pd12 0.623 0.623 0.623
Pd13 0.832 0.505 0.832
Pd14 0.832 0.832 0.505
Pd15 0.832 0.832 0.832
Pd16 0.868 0.377 0.377

Most intense lines, 10° ≤ 2θ ≤ 90°, in order of falling intensity:
37.70 deg, intensity 100
68.06 deg, intensity 25
34.53 deg, intensity 25
80.51 deg, intensity 10
54.38 deg, intensity 9
29.60 deg, intensity 9
39.50 deg, intensity 9
66.03 deg, intensity 9
43.99 deg, intensity 9
42.35 deg, intensity 8
40.08 deg, intensity 8
61.44 deg, intensity 7

(10)
# PrSn2Pd4
Theoretical X-ray powder pattern, CuKα. Input: a GGA-PBE-relaxed structure.
Intensities are scaled so that the largest is 100.

Cell and atoms:
a b c (Å): 8.111 8.111 4.276
angles (deg): 90.00 90.00 90.00
Fractional coordinates of all 14 atoms:
Pr1 0.000 0.000 0.000
Pr2 0.500 0.500 0.500
Sn1 0.217 0.217 0.500
Sn2 0.283 0.717 0.000
Sn3 0.717 0.283 0.000
Sn4 0.783 0.783 0.500
Pd1 0.092 0.652 0.500
Pd2 0.152 0.408 0.000
Pd3 0.348 0.908 0.500
Pd4 0.408 0.152 0.000
Pd5 0.592 0.848 0.000
Pd6 0.652 0.092 0.500
Pd7 0.848 0.592 0.000
Pd8 0.908 0.348 0.500

Most intense lines, 10° ≤ 2θ ≤ 90°, in order of falling intensity:
32.36 deg, intensity 100
41.03 deg, intensity 95
37.77 deg, intensity 62
42.27 deg, intensity 45
34.98 deg, intensity 43
46.14 deg, intensity 30
31.19 deg, intensity 25
61.10 deg, intensity 24
64.35 deg, intensity 22
55.99 deg, intensity 22
87.15 deg, intensity 18
74.31 deg, intensity 17

(11)
# Pr6Sn2Pd
Theoretical X-ray powder pattern, CuKα. Input: a GGA-PBE-relaxed structure.
Intensities are scaled so that the largest is 100.

Cell and atoms:
a b c (Å): 6.405 8.703 12.255
angles (deg): 90.00 121.42 90.00
Fractional coordinates of all 18 atoms:
Pr1 0.074 0.173 0.448
Pr2 0.074 0.327 0.948
Pr3 0.336 0.679 0.449
Pr4 0.336 0.821 0.949
Pr5 0.377 0.028 0.263
Pr6 0.377 0.472 0.763
Pr7 0.623 0.528 0.237
Pr8 0.623 0.972 0.737
Pr9 0.664 0.179 0.051
Pr10 0.664 0.321 0.551
Pr11 0.926 0.673 0.052
Pr12 0.926 0.827 0.552
Sn1 0.159 0.120 0.749
Sn2 0.159 0.380 0.249
Sn3 0.841 0.620 0.751
Sn4 0.841 0.880 0.251
Pd1 0.000 0.000 0.000
Pd2 0.000 0.500 0.500

Most intense lines, 10° ≤ 2θ ≤ 90°, in order of falling intensity:
30.96 deg, intensity 100
33.92 deg, intensity 53
34.34 deg, intensity 43
30.14 deg, intensity 41
26.65 deg, intensity 28
32.92 deg, intensity 23
26.19 deg, intensity 21
29.15 deg, intensity 18
50.72 deg, intensity 18
29.72 deg, intensity 18
34.44 deg, intensity 17
49.82 deg, intensity 16

(12)
# Pr4Sn3Pd
Theoretical X-ray powder pattern, CuKα. Input: a GGA-PBE-relaxed structure.
Intensities are scaled so that the largest is 100.

Cell and atoms:
a b c (Å): 4.506 4.509 11.678
angles (deg): 90.00 90.00 90.00
Fractional coordinates of all 8 atoms:
Pr1 0.000 0.000 0.000
Pr2 0.000 0.500 0.475
Pr3 0.500 0.000 0.708
Pr4 0.500 0.500 0.214
Sn1 0.000 0.500 0.759
Sn2 0.500 0.000 0.427
Sn3 0.500 0.500 0.935
Pd1 0.000 0.000 0.269

Most intense lines, 10° ≤ 2θ ≤ 90°, in order of falling intensity:
29.04 deg, intensity 100
36.43 deg, intensity 70
40.00 deg, intensity 51
51.19 deg, intensity 32
30.62 deg, intensity 28
30.33 deg, intensity 24
36.68 deg, intensity 21
70.33 deg, intensity 21
66.02 deg, intensity 19
57.86 deg, intensity 17
73.72 deg, intensity 14
59.04 deg, intensity 14